For PrInNi2, a crystal structure in the Materials Project, relaxed with GGA-PBE gives the computed powder X-ray diffraction pattern in this record (Cu Ka).
Kinematic intensities with the Lorentz-polarization factor, no thermal factor.

Cell and atoms:
```
8
Lattice="5.208 0.000 0.000 0.000 4.077 0.000 0.000 0.000 7.209" Properties=species:S:1:pos:R:3 pbc="T T T"
Pr 1.302 0.000 1.617
Pr 3.906 0.000 5.592
In 1.302 2.038 6.066
In 3.906 2.038 1.143
Ni 0.000 2.038 3.605
Ni 1.302 0.000 4.360
Ni 2.604 2.038 3.605
Ni 3.906 0.000 2.849
```

Most intense lines, 2θ from 15° to 90°, sorted by position:
2θ/deg	I_rel
30.48	100
34.44	31
37.50	85
42.84	27
43.09	24
44.45	34

For LiNdS2, a crystal structure in the Materials Project, relaxed with GGA-PBE gives the computed powder X-ray diffraction pattern in this record (Cu Ka).
Kinematic intensities with the Lorentz-polarization factor, no thermal factor.

Cell and atoms:
```
4
Lattice="2.029 1.171 6.230 -2.029 1.171 6.230 0.000 -2.343 6.230" Properties=species:S:1:pos:R:3 pbc="T T T"
Li 0.000 0.000 0.000
Nd 0.000 0.000 9.345
S 0.000 0.000 4.713
S 0.000 0.000 13.976
```

Most intense lines, 2θ from 15° to 90°, sorted by position:
2θ/deg	I_rel
25.80	72
31.87	100
35.05	34
44.67	38
46.69	33
47.11	27

For Mg2CoW3S8, a crystal structure in the Materials Project, relaxed with GGA-PBE gives the computed powder X-ray diffraction pattern in this record (Cu Ka).
Kinematic intensities with the Lorentz-polarization factor, no thermal factor.

Cell and atoms:
```
14
Lattice="6.907 0.000 0.000 -3.448 5.995 0.000 -0.008 -3.987 6.207" Properties=species:S:1:pos:R:3 pbc="T T T"
Mg 0.000 0.000 0.000
Mg -0.002 0.010 4.588
Co 3.447 -1.988 5.943
W -1.404 3.186 2.557
W 1.406 3.187 2.558
W 3.453 -0.365 2.557
S 0.001 4.003 0.844
S 2.002 -1.156 4.301
S 1.870 1.088 1.182
S 0.001 2.328 4.305
S 4.901 -1.156 4.301
S 3.454 2.002 3.734
S 5.035 1.089 1.179
S 3.456 3.833 1.180
```

Most intense lines, 2θ from 15° to 90°, sorted by position:
2θ/deg	I_rel
15.54	100
30.23	48
35.63	57
35.70	28
47.85	29
49.61	36